Ca2Ta2SnO8: calculated powder diffractogram (Cu Ka), based on the GGA-PBE geometry in Alexandria.
Intensities are scaled so that the largest is 100.

Main lines, by angle (2θ = 15–90°):
2θ/deg, I/Imax, index
17.8, 35, 4 0 0
18.5, 56, 3 1 0
24.4, 62, 3 1 -1
25.0, 59, 3 1 1
25.7, 61, 5 1 0
30.1, 55, 5 1 -1
30.5, 100, 0 2 1
31.1, 62, 5 1 1
32.9, 50, 0 0 2
47.4, 33, 8 2 -1

Structure:
Lattice parameters (Å, degrees): 19.990 6.944 5.449 90.00 92.19 90.00
Space group C2/c (No. 15)
Symmetry-distinct sites (fractional):
1 Ca 0.212 0.148 0.241 x8
2 Ta 0.125 0.361 0.746 x8
3 Sn 0.000 0.186 0.250 x4
4 O 0.072 0.188 0.901 x8
5 O 0.078 0.398 0.413 x8
6 O 0.189 0.171 0.644 x8
7 O 0.190 0.428 0.023 x8